1.
Theoretical X-ray diffraction stick pattern
Compound: CoIrSe4
Radiation: Cu Kα
Structure: the GGA-PBE geometry in Alexandria
Neutral-atom scattering factors, no anomalous dispersion.

Structure:
Lattice parameters (Å, degrees): 7.9446 7.9446 7.6250 90.00 90.00 90.00
Space group I4_1md (No. 109)
Inequivalent atoms, fractional coordinates:
Co (0.0000, 0.0000, 0.0000)
Ir (0.0000, 0.0000, 0.5051)
Se (0.0000, 0.3055, 0.0121)
Se (0.0000, 0.3097, 0.4946)

The 8 most intense peaks (10° ≤ 2θ ≤ 90°), sorted by position:
d (Å)  two_theta  I_rel  index
5.501  16.11  30  1 0 1
3.972  22.38  100  2 0 0
3.155  28.29  25  1 1 2
2.751  32.55  70  2 0 2
2.512  35.74  28  3 1 0
2.098  43.12  94  3 1 2
1.986  45.68  33  4 0 0
1.681  54.60  58  3 3 2

---

2.
Theoretical X-ray diffraction stick pattern
Compound: CeNdBrN
Radiation: Cu Kα
Structure: the GGA-PBE geometry in Alexandria
Neutral-atom scattering factors, no anomalous dispersion.

Structure:
Lattice parameters (Å, degrees): 3.6760 3.6760 22.4484 90.00 90.00 120.00
Space group R3m (No. 160, hexagonal axes)
Inequivalent atoms, fractional coordinates:
Ce (0.0000, 0.0000, 0.0000)
Nd (0.0000, 0.0000, 0.7877)
Br (0.0000, 0.0000, 0.5583)
N (0.0000, 0.0000, 0.3894)

The 8 most intense peaks (10° ≤ 2θ ≤ 90°), sorted by position:
d (Å)  two_theta  I_rel  index
3.152  28.31  49  1 0 1
2.769  32.33  90  1 0 4
2.597  34.54  100  0 1 5
2.494  36.01  30  0 0 9
1.837  49.62  62  1 1 0
1.500  61.84  18  2 0 5
1.480  62.80  36  1 1 9
1.162  83.10  16  1 2 5

---

3.
Theoretical X-ray diffraction stick pattern
Compound: PmPrSn
Radiation: Cu Kα
Structure: the GGA-PBE geometry in Alexandria
Neutral-atom scattering factors, no anomalous dispersion.

Structure:
Lattice parameters (Å, degrees): 5.5814 5.5814 6.7947 90.00 90.00 120.00
Space group P6_3/mmc (No. 194)
Inequivalent atoms, fractional coordinates:
Pm (0.0000, 0.0000, 0.0000)
Pr (0.3333, 0.6667, 0.2500)
Sn (0.3333, 0.6667, 0.7500)

The 8 most intense peaks (10° ≤ 2θ ≤ 90°), sorted by position:
d (Å)  two_theta  I_rel  index
2.791  32.07  100  1 1 0
2.779  32.21  91  1 0 2
1.969  46.09  34  2 0 2
1.610  57.23  55  3 0 0
1.451  64.19  28  1 1 4
1.395  67.08  12  2 2 0
1.247  76.37  15  3 1 2
1.169  82.52  14  3 0 4

---

4.
Theoretical X-ray diffraction stick pattern
Compound: Ba2MgZnAg2
Radiation: Cu Kα
Structure: the GGA-PBE geometry in Alexandria
Neutral-atom scattering factors, no anomalous dispersion.

Structure:
Lattice parameters (Å, degrees): 6.7789 15.9985 6.8265 90.00 90.00 90.00
Space group Ibam (No. 72)
Inequivalent atoms, fractional coordinates:
Ba (0.2397, 0.1643, 0.0000)
Mg (0.0000, 0.5000, 0.2500)
Zn (0.0000, 0.0000, 0.2500)
Ag (0.2453, 0.0942, 0.5000)

The 8 most intense peaks (10° ≤ 2θ ≤ 90°), sorted by position:
d (Å)  two_theta  I_rel  index
3.413  26.11  35  0 0 2
3.389  26.29  34  2 0 0
3.075  29.03  100  1 4 1
2.596  34.55  36  0 4 2
2.586  34.69  36  2 4 0
2.405  37.39  61  2 0 2
1.899  47.91  24  1 4 3
1.847  49.35  34  1 8 1

---

5.
Theoretical X-ray diffraction stick pattern
Compound: NaAcZnN2
Radiation: Cu Kα
Structure: the GGA-PBE geometry in Alexandria
Neutral-atom scattering factors, no anomalous dispersion.

Structure:
Lattice parameters (Å, degrees): 6.0912 4.2187 6.9755 90.00 100.50 90.00
Space group P2/c (No. 13)
Inequivalent atoms, fractional coordinates:
Na (0.0000, 0.0245, 0.2500)
Ac (0.5000, 0.2761, 0.7500)
Zn (0.0000, 0.5000, 0.0000)
N (0.2674, 0.2742, 0.0430)

The 8 most intense peaks (10° ≤ 2θ ≤ 90°), sorted by position:
d (Å)  two_theta  I_rel  index
5.989  14.79  60  1 0 0
3.593  24.78  100  0 1 1
3.242  27.51  72  1 0 -2
3.220  27.70  67  1 1 -1
2.995  29.84  63  2 0 0
2.959  30.20  89  1 1 1
2.417  37.20  39  2 1 -1
1.990  45.60  44  1 2 0

---

6.
Theoretical X-ray diffraction stick pattern
Compound: ScCu2Re
Radiation: Cu Kα
Structure: the GGA-PBE geometry in Alexandria
Neutral-atom scattering factors, no anomalous dispersion.

Structure:
Lattice parameters (Å, degrees): 5.5217 7.5884 2.7818 90.00 90.00 90.00
Space group Cmmm (No. 65)
Inequivalent atoms, fractional coordinates:
Sc (0.0000, 0.0000, 0.0000)
Cu (0.2500, 0.2500, 0.5000)
Re (0.0000, 0.5000, 0.0000)

The 8 most intense peaks (10° ≤ 2θ ≤ 90°), sorted by position:
d (Å)  two_theta  I_rel  index
4.465  19.89  83  1 1 0
2.361  38.12  34  1 1 1
2.243  40.20  100  0 2 1
2.232  40.40  99  2 2 0
1.960  46.33  66  2 0 1
1.897  47.95  30  0 4 0
1.363  68.89  39  2 4 1
1.181  81.54  24  2 2 2